Record 1
This entry pairs a crystal structure of ZrCu2Se2S with its computed X-ray powder pattern. Radiation: a wavelength of 1.5418 Å. Structure: the GGA-PBE geometry in OQMD.
No peak broadening, texture or thermal motion is included.

Cell and atoms:
a b c (Å): 9.7498 9.7498 6.8440
angles (deg): 96.75 96.75 22.90
Atoms (fractional coordinates):
Zr (0.1434, 0.1434, 0.0396)
Zr (0.8566, 0.8566, 0.9604)
Cu (0.2099, 0.2099, 0.4345)
Cu (0.4573, 0.4573, 0.8357)
Cu (0.5427, 0.5427, 0.1643)
Cu (0.7901, 0.7901, 0.5655)
Se (0.0823, 0.0823, 0.3599)
Se (0.2543, 0.2543, 0.7844)
Se (0.7457, 0.7457, 0.2156)
Se (0.9177, 0.9177, 0.6401)
S (0.4177, 0.4177, 0.1492)
S (0.5823, 0.5823, 0.8508)

Largest 12 diffraction maxima, in order of falling intensity, 15° ≤ 2θ ≤ 90°:
d [Å]  2θ/deg  Rel. int.
1.965  46.2  100
5.867  15.1  99
3.301  27.0  87
2.899  30.8  63
1.935  47.0  56
2.052  44.1  44
2.501  35.9  44
2.174  41.5  41
1.836  49.6  40
2.035  44.5  37
3.008  29.7  28
2.595  34.6  27



Record 2
This entry pairs a crystal structure of ZrCu2Se2S with its computed X-ray powder pattern. Radiation: a wavelength of 1.5418 Å. Structure: the GGA-PBE geometry in OQMD.
No peak broadening, texture or thermal motion is included.

Cell and atoms:
a b c (Å): 9.6542 9.6542 6.7185
angles (deg): 95.70 95.70 22.85
Atoms (fractional coordinates):
Zr (0.1533, 0.1533, 0.0456)
Zr (0.8467, 0.8467, 0.9544)
Cu (0.2085, 0.2085, 0.4548)
Cu (0.4541, 0.4541, 0.8410)
Cu (0.5459, 0.5459, 0.1590)
Cu (0.7915, 0.7915, 0.5452)
Se (0.0830, 0.0830, 0.3613)
Se (0.4141, 0.4141, 0.1763)
Se (0.5859, 0.5859, 0.8237)
Se (0.9170, 0.9170, 0.6387)
S (0.2564, 0.2564, 0.7806)
S (0.7436, 0.7436, 0.2194)

Largest 12 diffraction maxima, in order of falling intensity, 15° ≤ 2θ ≤ 90°:
d [Å]  2θ/deg  Rel. int.
3.263  27.3  100
1.932  47.0  65
2.040  44.4  59
2.876  31.1  50
1.913  47.5  48
5.731  15.5  45
3.242  27.5  41
2.023  44.8  39
1.812  50.4  34
2.470  36.4  24
2.958  30.2  23
2.143  42.2  17



Record 3
This entry pairs a crystal structure of Cu8SiS6 with its computed X-ray powder pattern. Radiation: a wavelength of 1.5418 Å. Structure: the GGA-PBE geometry in OQMD.
No peak broadening, texture or thermal motion is included.

Cell and atoms:
a b c (Å): 6.9907 6.8727 9.6969
angles (deg): 90.00 90.00 90.00
Atoms (fractional coordinates):
Cu (0.0000, 0.1035, 0.0000)
Cu (0.0000, 0.2312, 0.4456)
Cu (0.2039, 0.0251, 0.2260)
Cu (0.2043, 0.6494, 0.1224)
Cu (0.2075, 0.6126, 0.8216)
Cu (0.2925, 0.3874, 0.3216)
Cu (0.2957, 0.3506, 0.6224)
Cu (0.2961, 0.9749, 0.7260)
Cu (0.5000, 0.7688, 0.9456)
Cu (0.5000, 0.8965, 0.5000)
Cu (0.7043, 0.3506, 0.6224)
Cu (0.7039, 0.9749, 0.7260)
Cu (0.7075, 0.3874, 0.3216)
Cu (0.7925, 0.6126, 0.8216)
Cu (0.7961, 0.0251, 0.2260)
Cu (0.7957, 0.6494, 0.1224)
Si (0.0000, 0.7513, 0.4776)
Si (0.5000, 0.2487, 0.9776)
S (0.0000, 0.2871, 0.2124)
S (0.0000, 0.5043, 0.6118)
S (0.0000, 0.7701, 0.9679)
S (0.0000, 0.9956, 0.6096)
S (0.2452, 0.2536, 0.8588)
S (0.2548, 0.7464, 0.3588)
S (0.5000, 0.0044, 0.1096)
S (0.5000, 0.2299, 0.4679)
S (0.5000, 0.4957, 0.1118)
S (0.5000, 0.7129, 0.7124)
S (0.7452, 0.7464, 0.3588)
S (0.7548, 0.2536, 0.8588)

Largest 12 diffraction maxima, in order of falling intensity, 15° ≤ 2θ ≤ 90°:
d [Å]  2θ/deg  Rel. int.
2.835  31.6  100
2.287  39.4  64
1.723  53.1  45
1.915  47.5  44
3.239  27.5  44
2.804  31.9  44
1.880  48.4  43
1.868  48.7  41
1.953  46.5  37
5.607  15.8  35
2.243  40.2  31
1.891  48.1  28



Record 4
This entry pairs a crystal structure of Sm2CuS3 with its computed X-ray powder pattern. Radiation: a wavelength of 1.5418 Å. Structure: the GGA-PBE geometry in OQMD.
No peak broadening, texture or thermal motion is included.

Cell and atoms:
a b c (Å): 6.6495 6.6495 10.4284
angles (deg): 90.00 90.00 146.52
Atoms (fractional coordinates):
Sm (0.0000, 0.0000, 0.0000)
Sm (0.0000, 0.0000, 0.5000)
Sm (0.2371, 0.7629, 0.7500)
Sm (0.7629, 0.2371, 0.2500)
Cu (0.4770, 0.5230, 0.2500)
Cu (0.5230, 0.4770, 0.7500)
S (0.0895, 0.9105, 0.2500)
S (0.3539, 0.6461, 0.0828)
S (0.3539, 0.6461, 0.4172)
S (0.6461, 0.3539, 0.5828)
S (0.6461, 0.3539, 0.9172)
S (0.9105, 0.0895, 0.7500)

Largest 12 diffraction maxima, in order of falling intensity, 15° ≤ 2θ ≤ 90°:
d [Å]  2θ/deg  Rel. int.
2.497  36.0  100
4.034  22.0  92
2.744  32.6  79
3.000  29.8  51
2.607  34.4  48
1.965  46.2  45
3.184  28.0  44
2.017  44.9  42
2.523  35.6  39
1.915  47.5  30
2.201  41.0  29
3.460  25.7  26



Record 5
This entry pairs a crystal structure of Cu3SnS4 with its computed X-ray powder pattern. Radiation: a wavelength of 1.5418 Å. Structure: the GGA-PBE geometry in OQMD.
No peak broadening, texture or thermal motion is included.

Cell and atoms:
a b c (Å): 12.0980 5.3926 5.3917
angles (deg): 90.00 116.36 90.00
Atoms (fractional coordinates):
Cu (0.0000, 0.9999, 0.0000)
Cu (0.2500, 0.0000, 0.7476)
Cu (0.2500, 0.5000, 0.2524)
Cu (0.5000, 0.4999, 0.0000)
Cu (0.7500, 0.0000, 0.2524)
Cu (0.7500, 0.5000, 0.7476)
Sn (0.0000, 0.4967, 0.5000)
Sn (0.5000, 0.9967, 0.5000)
S (0.1310, 0.7633, 0.3681)
S (0.1326, 0.2358, 0.8970)
S (0.3674, 0.7358, 0.1030)
S (0.3690, 0.2633, 0.6319)
S (0.6310, 0.2633, 0.3681)
S (0.6326, 0.7358, 0.8970)
S (0.8674, 0.2358, 0.1030)
S (0.8690, 0.7633, 0.6319)

Largest 12 diffraction maxima, in order of falling intensity, 15° ≤ 2θ ≤ 90°:
d [Å]  2θ/deg  Rel. int.
3.118  28.6  100
1.911  47.6  39
1.627  56.6  28
1.906  47.7  19
1.633  56.4  14
2.696  33.2  11
1.102  88.8  9
1.240  76.9  8
1.348  69.8  6
2.710  33.1  5
1.238  77.0  5
1.559  59.3  4



Record 6
This entry pairs a crystal structure of Cu2SnS3 with its computed X-ray powder pattern. Radiation: a wavelength of 1.5418 Å. Structure: the GGA-PBE geometry in OQMD.
No peak broadening, texture or thermal motion is included.

Cell and atoms:
a b c (Å): 6.6770 6.6770 6.7031
angles (deg): 99.65 99.65 120.06
Atoms (fractional coordinates):
Cu (0.0827, 0.9173, 0.5000)
Cu (0.2363, 0.7377, 0.9945)
Cu (0.7377, 0.2363, 0.4945)
Cu (0.9173, 0.0827, 0.0000)
Sn (0.3833, 0.5704, 0.4806)
Sn (0.5704, 0.3833, 0.9806)
S (0.0057, 0.1748, 0.3634)
S (0.1748, 0.0057, 0.8634)
S (0.3595, 0.8827, 0.3593)
S (0.5370, 0.7187, 0.8818)
S (0.7187, 0.5370, 0.3818)
S (0.8827, 0.3595, 0.8593)

Largest 12 diffraction maxima, in order of falling intensity, 15° ≤ 2θ ≤ 90°:
d [Å]  2θ/deg  Rel. int.
3.153  28.3  100
1.927  47.2  50
3.142  28.4  32
1.646  55.8  27
1.933  47.0  26
2.728  32.8  22
1.643  56.0  22
1.115  87.5  11
1.251  76.1  9
1.254  75.8  7
1.363  68.9  7
1.113  87.7  5



Record 7
This entry pairs a crystal structure of YCuSnS3 with its computed X-ray powder pattern. Radiation: a wavelength of 1.5418 Å. Structure: the GGA-PBE geometry in OQMD.
No peak broadening, texture or thermal motion is included.

Cell and atoms:
a b c (Å): 8.9831 8.9831 7.8732
angles (deg): 103.35 103.35 24.96
Atoms (fractional coordinates):
Y (0.1617, 0.1617, 0.0810)
Y (0.8383, 0.8383, 0.9190)
Cu (0.4635, 0.4635, 0.7936)
Cu (0.5365, 0.5365, 0.2064)
Sn (0.1236, 0.1236, 0.5644)
Sn (0.8764, 0.8764, 0.4356)
S (0.0000, 0.0000, 0.0000)
S (0.3240, 0.3240, 0.1529)
S (0.3290, 0.3290, 0.6755)
S (0.5000, 0.5000, 0.5000)
S (0.6710, 0.6710, 0.3245)
S (0.6760, 0.6760, 0.8471)

Largest 12 diffraction maxima, in order of falling intensity, 15° ≤ 2θ ≤ 90°:
d [Å]  2θ/deg  Rel. int.
2.764  32.4  100
3.209  27.8  50
2.309  39.0  31
2.328  38.7  25
1.942  46.8  23
4.261  20.8  21
2.896  30.9  19
2.562  35.0  19
2.841  31.5  19
1.968  46.1  16
1.973  46.0  14
3.846  23.1  12



Record 8
This entry pairs a crystal structure of SrCu2S2 with its computed X-ray powder pattern. Radiation: a wavelength of 1.5418 Å. Structure: the GGA-PBE geometry in OQMD.
No peak broadening, texture or thermal motion is included.

Cell and atoms:
a b c (Å): 9.2534 3.9256 10.1172
angles (deg): 90.00 90.00 90.00
Atoms (fractional coordinates):
Sr (0.2472, 0.2500, 0.1825)
Sr (0.2528, 0.7500, 0.6825)
Sr (0.7472, 0.2500, 0.3175)
Sr (0.7528, 0.7500, 0.8175)
Cu (0.0574, 0.2500, 0.8973)
Cu (0.0767, 0.2500, 0.4543)
Cu (0.4233, 0.7500, 0.9543)
Cu (0.4426, 0.7500, 0.3973)
Cu (0.5574, 0.2500, 0.6027)
Cu (0.5767, 0.2500, 0.0457)
Cu (0.9233, 0.7500, 0.5457)
Cu (0.9426, 0.7500, 0.1027)
S (0.0192, 0.7500, 0.3235)
S (0.1692, 0.7500, 0.9684)
S (0.3308, 0.2500, 0.4684)
S (0.4808, 0.2500, 0.8235)
S (0.5192, 0.7500, 0.1765)
S (0.6692, 0.7500, 0.5316)
S (0.8308, 0.2500, 0.0316)
S (0.9808, 0.2500, 0.6765)

Largest 12 diffraction maxima, in order of falling intensity, 15° ≤ 2θ ≤ 90°:
d [Å]  2θ/deg  Rel. int.
2.870  31.2  100
2.466  36.4  74
2.634  34.0  65
1.963  46.3  39
2.440  36.8  38
2.072  43.7  27
1.574  58.7  25
2.941  30.4  23
3.414  26.1  21
1.854  49.1  20
1.993  45.5  19
1.529  60.5  17